Starting from a crystal structure in Alexandria, relaxed with PBE, the X-ray diffraction stick pattern of Nb4PbBr7 was computed for a wavelength of 1.5418 Å.
Intensities are scaled so that the largest is 100.

Peak list (10 most intense, 2θ from 5° to 70°, by angle)
2θ 12.21, rel. 100, hkl 0 1 -2; 2θ 19.94, rel. 16, hkl 0 2 2; 2θ 26.41, rel. 17, hkl 0 1 -6; 2θ 29.28, rel. 45, hkl 1 1 3; 2θ 31.20, rel. 24, hkl 1 -2 1; 2θ 31.31, rel. 17, hkl 1 -1 4; 2θ 35.20, rel. 43, hkl 1 -2 4; 2θ 36.54, rel. 17, hkl 1 1 6; 2θ 49.36, rel. 17, hkl 1 2 -9; 2θ 50.91, rel. 15, hkl 2 0 0

Unit cell a=3.587 b=9.778 c=21.591 alpha=90.06 beta=90.00 gamma=90.01
Space group P1 (No. 1)
Unique sites:
Nb  0.000  0.000  0.000 [1 per cell]
Nb  0.000  0.000  0.359 [1 per cell]
Nb  0.001  0.747  0.402 [1 per cell]
Nb  0.001  0.747  0.957 [1 per cell]
Nb  0.497  0.692  0.500 [1 per cell]
Nb  0.497  0.692  0.859 [1 per cell]
Nb  0.501  0.945  0.902 [1 per cell]
Nb  0.501  0.946  0.457 [1 per cell]
Pb  0.455  0.409  0.679 [1 per cell]
Pb  0.956  0.280  0.179 [1 per cell]
Br  0.002  0.160  0.461 [1 per cell]
Br  0.002  0.160  0.898 [1 per cell]
Br  0.456  0.506  0.179 [1 per cell]
Br  0.497  0.184  0.063 [1 per cell]
Br  0.497  0.184  0.296 [1 per cell]
Br  0.498  0.883  0.583 [1 per cell]
Br  0.498  0.883  0.776 [1 per cell]
Br  0.501  0.533  0.397 [1 per cell]
Br  0.501  0.533  0.961 [1 per cell]
Br  0.951  0.184  0.679 [1 per cell]
Br  0.994  0.507  0.563 [1 per cell]
Br  0.994  0.507  0.796 [1 per cell]
Br  0.999  0.808  0.082 [1 per cell]
Br  0.999  0.808  0.276 [1 per cell]

Starting from a crystal structure in Alexandria, relaxed with PBE, the X-ray diffraction stick pattern of CaEr4PbS8 was computed for a wavelength of 1.5418 Å.
Intensities are scaled so that the largest is 100.

Peak list (10 most intense, 2θ from 5° to 70°, by angle)
2θ 13.40, rel. 48, hkl 1 0 1; 2θ 25.40, rel. 51, hkl 0 1 5; 2θ 25.71, rel. 100, hkl 1 1 3; 2θ 25.86, rel. 34, hkl 0 2 1; 2θ 26.98, rel. 33, hkl 2 0 2; 2θ 31.08, rel. 65, hkl 0 2 4; 2θ 40.76, rel. 34, hkl 1 2 5; 2θ 40.96, rel. 30, hkl 0 3 3; 2θ 44.15, rel. 56, hkl 2 0 8; 2θ 44.91, rel. 56, hkl 2 2 0

Unit cell a=8.0733 b=8.0733 c=20.2669 alpha=90.00 beta=90.00 gamma=120.00
Space group R3m (No. 160, hexagonal axes)
Unique sites:
Ca  0.0000  0.0000  0.0000 [3 per cell]
Er  0.0000  0.0000  0.2485 [3 per cell]
Er  0.1693  0.3386  0.4580 [9 per cell]
Pb  0.0000  0.0000  0.6292 [3 per cell]
S  0.0000  0.0000  0.3822 [3 per cell]
S  0.0000  0.0000  0.8641 [3 per cell]
S  0.0201  0.5101  0.3857 [9 per cell]
S  0.1707  0.3414  0.1992 [9 per cell]

Starting from a crystal structure in Alexandria, relaxed with PBE, the X-ray diffraction stick pattern of In4Pd17Se4 was computed for a wavelength of 1.5418 Å.
Intensities are scaled so that the largest is 100.

Peak list (10 most intense, 2θ from 5° to 70°, by angle)
2θ 8.58, rel. 11, hkl 1 1 0; 2θ 12.14, rel. 4, hkl 2 0 0; 2θ 38.06, rel. 100, hkl 3 4 1; 2θ 40.09, rel. 4, hkl 2 5 1; 2θ 43.92, rel. 32, hkl 7 1 0; 2θ 44.85, rel. 18, hkl 0 0 2; 2θ 45.74, rel. 5, hkl 5 4 1; 2θ 51.71, rel. 3, hkl 8 2 0; 2θ 63.86, rel. 8, hkl 6 8 0; 2θ 64.58, rel. 19, hkl 7 1 2

Unit cell a=14.577 b=14.577 c=4.042 alpha=90.00 beta=90.00 gamma=90.00
Space group I4/m (No. 87)
Unique sites:
In  0.114  0.162  0.000 [8 per cell]
Pd  0.000  0.000  0.000 [2 per cell]
Pd  0.022  0.864  0.500 [8 per cell]
Pd  0.047  0.729  0.000 [8 per cell]
Pd  0.091  0.303  0.500 [8 per cell]
Pd  0.185  0.749  0.500 [8 per cell]
Se  0.072  0.625  0.500 [8 per cell]

Starting from a crystal structure in Alexandria, relaxed with PBE, the X-ray diffraction stick pattern of Li5Ac2Zn5 was computed for a wavelength of 1.5418 Å.
Intensities are scaled so that the largest is 100.

Peak list (10 most intense, 2θ from 5° to 70°, by angle)
2θ 18.04, rel. 38, hkl 0 0 2; 2θ 19.78, rel. 56, hkl 1 0 0; 2θ 26.90, rel. 45, hkl 1 1 1; 2θ 31.54, rel. 66, hkl 0 2 0; 2θ 36.60, rel. 10, hkl 0 2 2; 2θ 37.49, rel. 100, hkl 1 1 3; 2θ 40.17, rel. 16, hkl 2 0 0; 2θ 51.92, rel. 19, hkl 2 1 3; 2θ 51.98, rel. 14, hkl 2 2 0; 2θ 60.17, rel. 18, hkl 1 3 3

Unit cell a=4.489 b=5.665 c=9.848 alpha=90.00 beta=90.00 gamma=90.00
Space group Pmmm (No. 47)
Unique sites:
Li  0.000  0.000  0.000 [1 per cell]
Li  0.000  0.254  0.258 [4 per cell]
Ac  0.500  0.000  0.500 [1 per cell]
Ac  0.500  0.500  0.000 [1 per cell]
Zn  0.000  0.500  0.500 [1 per cell]
Zn  0.500  0.000  0.166 [2 per cell]
Zn  0.500  0.500  0.337 [2 per cell]

Starting from a crystal structure in Alexandria, relaxed with PBE, the X-ray diffraction stick pattern of Tl5B2O5 was computed for a wavelength of 1.5418 Å.
Intensities are scaled so that the largest is 100.

Peak list (10 most intense, 2θ from 5° to 70°, by angle)
2θ 15.32, rel. 29, hkl 0 0 2; 2θ 16.51, rel. 35, hkl 2 0 1; 2θ 23.06, rel. 31, hkl 0 0 3; 2θ 26.74, rel. 100, hkl 4 0 -1; 2θ 28.69, rel. 65, hkl 2 0 3; 2θ 31.60, rel. 63, hkl 2 0 -4; 2θ 32.18, rel. 34, hkl 1 1 0; 2θ 37.67, rel. 57, hkl 3 1 -1; 2θ 44.37, rel. 36, hkl 1 1 -4; 2θ 46.48, rel. 75, hkl 6 0 2

Unit cell a=13.431 b=2.846 c=11.737 alpha=90.00 beta=99.70 gamma=90.00
Space group C2/m (No. 12)
Unique sites:
Tl  0.000  0.000  0.000 [2 per cell]
Tl  0.138  0.000  0.546 [4 per cell]
Tl  0.207  0.000  0.835 [4 per cell]
B  0.042  0.500  0.277 [4 per cell]
O  0.000  0.500  0.500 [2 per cell]
O  0.044  0.500  0.799 [4 per cell]
O  0.090  0.000  0.309 [4 per cell]

Please write out number 3 again, unchanged.
Starting from a crystal structure in Alexandria, relaxed with PBE, the X-ray diffraction stick pattern of In4Pd17Se4 was computed for a wavelength of 1.5418 Å.
Intensities are scaled so that the largest is 100.

Peak list (10 most intense, 2θ from 5° to 70°, by angle)
2θ 8.58, rel. 11, hkl 1 1 0; 2θ 12.14, rel. 4, hkl 2 0 0; 2θ 38.06, rel. 100, hkl 3 4 1; 2θ 40.09, rel. 4, hkl 2 5 1; 2θ 43.92, rel. 32, hkl 7 1 0; 2θ 44.85, rel. 18, hkl 0 0 2; 2θ 45.74, rel. 5, hkl 5 4 1; 2θ 51.71, rel. 3, hkl 8 2 0; 2θ 63.86, rel. 8, hkl 6 8 0; 2θ 64.58, rel. 19, hkl 7 1 2

Unit cell a=14.577 b=14.577 c=4.042 alpha=90.00 beta=90.00 gamma=90.00
Space group I4/m (No. 87)
Unique sites:
In  0.114  0.162  0.000 [8 per cell]
Pd  0.000  0.000  0.000 [2 per cell]
Pd  0.022  0.864  0.500 [8 per cell]
Pd  0.047  0.729  0.000 [8 per cell]
Pd  0.091  0.303  0.500 [8 per cell]
Pd  0.185  0.749  0.500 [8 per cell]
Se  0.072  0.625  0.500 [8 per cell]

Please write out number 3 again, unchanged.
Starting from a crystal structure in Alexandria, relaxed with PBE, the X-ray diffraction stick pattern of In4Pd17Se4 was computed for a wavelength of 1.5418 Å.
Intensities are scaled so that the largest is 100.

Peak list (10 most intense, 2θ from 5° to 70°, by angle)
2θ 8.58, rel. 11, hkl 1 1 0; 2θ 12.14, rel. 4, hkl 2 0 0; 2θ 38.06, rel. 100, hkl 3 4 1; 2θ 40.09, rel. 4, hkl 2 5 1; 2θ 43.92, rel. 32, hkl 7 1 0; 2θ 44.85, rel. 18, hkl 0 0 2; 2θ 45.74, rel. 5, hkl 5 4 1; 2θ 51.71, rel. 3, hkl 8 2 0; 2θ 63.86, rel. 8, hkl 6 8 0; 2θ 64.58, rel. 19, hkl 7 1 2

Unit cell a=14.577 b=14.577 c=4.042 alpha=90.00 beta=90.00 gamma=90.00
Space group I4/m (No. 87)
Unique sites:
In  0.114  0.162  0.000 [8 per cell]
Pd  0.000  0.000  0.000 [2 per cell]
Pd  0.022  0.864  0.500 [8 per cell]
Pd  0.047  0.729  0.000 [8 per cell]
Pd  0.091  0.303  0.500 [8 per cell]
Pd  0.185  0.749  0.500 [8 per cell]
Se  0.072  0.625  0.500 [8 per cell]